[1]
Computed XRD peak list of Ac2Si7Rh12 for Cu Kα X-rays, from DFT lattice parameters and positions (PBE).
Intensities are scaled so that the largest is 100.

Crystal structure
Unit cell a=9.8934 b=9.8934 c=3.9104 alpha=90.00 beta=90.00 gamma=120.00
Space group P-6 (No. 174)
Inequivalent atoms, fractional coordinates:
Ac (0.0000, 0.0000, 0.0000)
Ac (0.3333, 0.6667, 0.5000)
Si (0.0553, 0.4345, 0.0000)
Si (0.2780, 0.2379, 0.5000)
Si (0.6667, 0.3333, 0.0000)
Rh (0.0485, 0.2755, 0.5000)
Rh (0.1097, 0.7099, 0.0000)
Rh (0.3963, 0.1891, 0.0000)
Rh (0.5397, 0.4450, 0.5000)

Main lines, low angle first (2θ = 10–90°):
index	2theta	d_spacing	I/Imax
1 0 1	25.0	3.557	10
2 1 0	27.5	3.238	17
2 1 1	36.0	2.494	100
2 2 0	36.3	2.473	10
4 0 0	42.2	2.142	8
0 0 2	46.4	1.955	16
1 4 0	48.7	1.870	14
4 2 1	62.0	1.496	9
1 4 2	69.6	1.351	9
2 1 3	79.2	1.209	11



[2]
Computed XRD peak list of AcSiRh2 for Cu Kα X-rays, from DFT lattice parameters and positions (PBE).
Intensities are scaled so that the largest is 100.

Crystal structure
Unit cell a=4.2236 b=18.0123 c=4.2358 alpha=90.00 beta=90.00 gamma=90.00
Space group Cmmm (No. 65)
Inequivalent atoms, fractional coordinates:
Ac (0.0000, 0.1481, 0.0000)
Si (0.0000, 0.4274, 0.5000)
Rh (0.0000, 0.0000, 0.5000)
Rh (0.0000, 0.2961, 0.5000)
Rh (0.0000, 0.5000, 0.0000)

Main lines, low angle first (2θ = 10–90°):
index	2theta	d_spacing	I/Imax
1 3 0	25.8	3.454	11
0 4 1	28.9	3.085	23
0 6 0	29.8	3.002	16
1 3 1	33.5	2.677	100
1 7 0	41.1	2.197	22
0 0 2	42.7	2.118	18
2 0 0	42.8	2.112	18
1 7 2	60.7	1.525	16
2 0 2	62.1	1.495	12
3 3 1	72.5	1.304	18



[3]
Computed XRD peak list of Ac2ThSi3Rh12 for Cu Kα X-rays, from DFT lattice parameters and positions (PBE).
Intensities are scaled so that the largest is 100.

Crystal structure
Unit cell a=8.3121 b=8.3121 c=17.5064 alpha=90.00 beta=90.00 gamma=120.00
Space group R-3m (No. 166, hexagonal axes)
Inequivalent atoms, fractional coordinates:
Ac (0.0000, 0.0000, 0.1022)
Th (0.0000, 0.0000, 0.5000)
Si (0.0000, 0.5000, 0.0000)
Rh (0.0250, 0.5125, 0.8676)
Rh (0.0396, 0.5198, 0.3650)

Main lines, low angle first (2θ = 10–90°):
index	2theta	d_spacing	I/Imax
1 1 3	26.3	3.385	33
0 1 5	28.3	3.149	45
0 2 4	32.2	2.780	100
1 2 2	34.5	2.598	50
2 0 5	35.8	2.510	19
1 2 5	42.1	2.148	23
2 2 0	43.6	2.078	96
2 0 8	48.7	1.870	50
4 0 4	55.2	1.664	16
3 2 10	79.8	1.201	18